Al2SiHg: theoretical powder X-ray diffraction pattern (Cu Ka), based on the GGA-PBE geometry in Alexandria.
Kinematic intensities with the Lorentz-polarization factor, no thermal factor.

Structural model:
```
Al2SiHg
1.0
2.944 0.000 0.000
0.000 3.609 0.000
-0.018 0.000 7.277
Al Si Hg
2 1 1
Cartesian
0.000 0.000 0.000 Al
1.454 1.805 5.667 Al
2.926 0.000 4.413 Si
2.926 1.805 2.201 Hg
```

Most intense lines, 2θ from 10° to 90°, by angle:
- 12.2 deg, 7.277 Å, rel. 100
- 24.5 deg, 3.639 Å, rel. 31
- 24.7 deg, 3.609 Å, rel. 27
- 27.6 deg, 3.233 Å, rel. 52
- 30.4 deg, 2.944 Å, rel. 29
- 32.8 deg, 2.729 Å, rel. 40
- 35.0 deg, 2.562 Å, rel. 56
- 37.1 deg, 2.426 Å, rel. 16
- 41.5 deg, 2.177 Å, rel. 58
- 47.0 deg, 1.933 Å, rel. 32

LaYPt10: theoretical powder X-ray diffraction pattern (Cu Ka), based on the GGA-PBE geometry in Alexandria.
Kinematic intensities with the Lorentz-polarization factor, no thermal factor.

Structural model:
```
LaYPt10
1.0
4.449 0.000 0.000
0.000 5.417 0.000
0.000 0.000 9.345
La Y Pt
1 1 10
Cartesian
0.000 0.000 0.000 La
0.000 2.709 4.673 Y
0.000 0.000 3.145 Pt
0.000 0.000 6.200 Pt
0.000 2.709 1.601 Pt
0.000 2.709 7.744 Pt
2.224 0.000 4.673 Pt
2.224 1.361 2.362 Pt
2.224 1.361 6.983 Pt
2.224 2.709 0.000 Pt
2.224 4.056 2.362 Pt
2.224 4.056 6.983 Pt
```

Most intense lines, 2θ from 10° to 90°, by angle:
- 19.0 deg, 4.682 Å, rel. 46
- 38.4 deg, 2.343 Å, rel. 18
- 39.0 deg, 2.310 Å, rel. 100
- 40.6 deg, 2.224 Å, rel. 36
- 43.7 deg, 2.073 Å, rel. 44
- 43.8 deg, 2.068 Å, rel. 21
- 57.1 deg, 1.613 Å, rel. 17
- 63.1 deg, 1.474 Å, rel. 16
- 72.7 deg, 1.300 Å, rel. 17
- 83.8 deg, 1.154 Å, rel. 18

Mg5Cd2Sn: theoretical powder X-ray diffraction pattern (Cu Ka), based on the GGA-PBE geometry in Alexandria.
Kinematic intensities with the Lorentz-polarization factor, no thermal factor.

Structural model:
```
Mg5Cd2Sn
1.0
6.310 0.000 0.000
0.000 12.659 0.000
0.000 0.000 4.518
Mg Cd Sn
10 4 2
Cartesian
0.000 0.000 0.000 Mg
0.251 3.215 0.000 Mg
1.395 7.827 2.259 Mg
1.760 1.498 2.259 Mg
2.904 9.544 0.000 Mg
3.155 6.329 0.000 Mg
3.406 3.115 0.000 Mg
4.550 11.161 2.259 Mg
4.915 4.832 2.259 Mg
6.059 9.444 0.000 Mg
1.280 10.922 2.259 Cd
1.875 4.593 2.259 Cd
4.435 8.066 2.259 Cd
5.029 1.737 2.259 Cd
0.000 6.329 0.000 Sn
3.155 0.000 0.000 Sn
```

Most intense lines, 2θ from 10° to 90°, by angle:
- 19.9 deg, 4.469 Å, rel. 28
- 25.2 deg, 3.528 Å, rel. 20
- 25.4 deg, 3.508 Å, rel. 11
- 28.1 deg, 3.177 Å, rel. 24
- 34.6 deg, 2.590 Å, rel. 100
- 39.9 deg, 2.259 Å, rel. 19
- 40.4 deg, 2.234 Å, rel. 29
- 58.1 deg, 1.589 Å, rel. 19
- 69.1 deg, 1.360 Å, rel. 13
- 69.6 deg, 1.350 Å, rel. 11

Zn2ClO: theoretical powder X-ray diffraction pattern (Cu Ka), based on the GGA-PBE geometry in Alexandria.
Kinematic intensities with the Lorentz-polarization factor, no thermal factor.

Structural model:
```
Zn2ClO
1.0
4.521 -2.538 0.000
4.521 2.538 0.000
-3.322 0.000 5.515
Zn Cl O
4 2 2
Cartesian
0.000 0.000 0.000 Zn
-0.074 0.302 5.364 Zn
5.794 0.302 0.151 Zn
2.860 -0.991 2.757 Zn
1.357 0.952 2.073 Cl
4.363 0.952 3.441 Cl
2.976 -1.452 0.878 O
2.745 -1.452 4.636 O
```

Most intense lines, 2θ from 10° to 90°, by angle:
- 16.1 deg, 5.515 Å, rel. 39
- 28.4 deg, 3.138 Å, rel. 19
- 30.0 deg, 2.981 Å, rel. 15
- 32.5 deg, 2.757 Å, rel. 45
- 33.4 deg, 2.685 Å, rel. 17
- 34.7 deg, 2.589 Å, rel. 50
- 37.7 deg, 2.388 Å, rel. 41
- 39.1 deg, 2.304 Å, rel. 100
- 47.0 deg, 1.934 Å, rel. 16
- 49.4 deg, 1.844 Å, rel. 21

MgSn4Pb: theoretical powder X-ray diffraction pattern (Cu Ka), based on the GGA-PBE geometry in Alexandria.
Kinematic intensities with the Lorentz-polarization factor, no thermal factor.

Structural model:
```
MgSn4Pb
1.0
3.465 0.000 0.000
0.000 3.465 0.000
0.000 0.000 13.572
Mg Sn Pb
1 4 1
Cartesian
0.000 0.000 0.000 Mg
0.000 0.000 4.326 Sn
0.000 0.000 9.246 Sn
1.733 1.733 2.031 Sn
1.733 1.733 11.541 Sn
1.733 1.733 6.786 Pb
```

Most intense lines, 2θ from 10° to 90°, by angle:
- 28.9 deg, 3.086 Å, rel. 19
- 32.5 deg, 2.751 Å, rel. 100
- 36.7 deg, 2.450 Å, rel. 39
- 39.9 deg, 2.262 Å, rel. 12
- 50.2 deg, 1.819 Å, rel. 9
- 52.8 deg, 1.733 Å, rel. 14
- 55.3 deg, 1.662 Å, rel. 19
- 60.8 deg, 1.524 Å, rel. 9
- 63.5 deg, 1.466 Å, rel. 31
- 68.2 deg, 1.375 Å, rel. 10

Sm7Dy4In: theoretical powder X-ray diffraction pattern (Cu Ka), based on the GGA-PBE geometry in Alexandria.
Kinematic intensities with the Lorentz-polarization factor, no thermal factor.

Structural model:
```
Sm7Dy4In
1.0
6.556 0.000 0.000
0.913 6.691 0.000
2.071 0.449 8.835
Sm Dy In
7 4 1
Cartesian
0.000 0.000 0.000 Sm
2.211 4.182 2.813 Sm
2.200 0.821 3.460 Sm
3.391 1.719 0.437 Sm
6.148 5.422 8.398 Sm
7.339 6.319 5.375 Sm
7.328 2.959 6.022 Sm
3.997 4.960 5.754 Dy
4.054 1.618 6.347 Dy
5.485 5.522 2.488 Dy
5.542 2.180 3.081 Dy
0.456 3.345 0.000 In
```

Most intense lines, 2θ from 10° to 90°, by angle:
- 30.4 deg, 2.945 Å, rel. 57
- 30.9 deg, 2.893 Å, rel. 58
- 31.7 deg, 2.819 Å, rel. 82
- 31.9 deg, 2.804 Å, rel. 100
- 32.0 deg, 2.794 Å, rel. 80
- 32.5 deg, 2.753 Å, rel. 73
- 34.7 deg, 2.583 Å, rel. 20
- 43.2 deg, 2.094 Å, rel. 21
- 45.8 deg, 1.983 Å, rel. 20
- 56.8 deg, 1.621 Å, rel. 21